[1]
This entry pairs a crystal structure of RbSiH5 with its computed powder diffraction line list. Radiation: Cu Kα X-rays. Structure: a DFT-relaxed cell (GGA-PBE, Alexandria).
No peak broadening, texture or thermal motion is included.

Main lines, by angle (2θ = 5–70°):
18.8 deg, I = 15
21.1 deg, I = 28
24.1 deg, I = 32
28.4 deg, I = 100
30.7 deg, I = 17
45.1 deg, I = 16

Atomic structure:
```
RbSiH5
1.0
-4.727 3.696 2.554
4.727 -3.696 2.554
4.727 3.696 -2.554
Rb Si H
2 2 10
Direct
0.000 0.000 0.000 Rb
0.000 0.500 0.500 Rb
0.418 0.255 0.663 Si
0.592 0.755 0.337 Si
0.013 0.028 0.485 H
0.224 0.515 0.209 H
0.307 0.015 0.791 H
0.387 0.095 0.466 H
0.387 0.421 0.792 H
0.544 0.528 0.515 H
0.629 0.595 0.208 H
0.629 0.921 0.534 H
0.644 0.961 0.182 H
0.779 0.461 0.818 H
```


[2]
This entry pairs a crystal structure of Pm4Sn2Ru with its computed powder diffraction line list. Radiation: Cu Kα X-rays. Structure: a DFT-relaxed cell (GGA-PBE, Alexandria).
No peak broadening, texture or thermal motion is included.

Main lines, by angle (2θ = 5–70°):
27.6 deg, I = 65
30.3 deg, I = 55
34.4 deg, I = 100
36.2 deg, I = 86
37.0 deg, I = 48
37.5 deg, I = 67

Atomic structure:
```
Pm4Sn2Ru
1.0
5.714 -2.399 0.000
5.714 2.399 0.000
-5.200 0.000 7.291
Pm Sn Ru
4 2 1
Direct
0.068 0.068 0.358 Pm
0.333 0.333 0.951 Pm
0.667 0.667 0.049 Pm
0.932 0.932 0.642 Pm
0.336 0.336 0.325 Sn
0.664 0.664 0.675 Sn
0.000 0.000 0.000 Ru
```


[3]
This entry pairs a crystal structure of Ce2HfSn8 with its computed powder diffraction line list. Radiation: Cu Kα X-rays. Structure: a DFT-relaxed cell (GGA-PBE, Alexandria).
No peak broadening, texture or thermal motion is included.

Main lines, by angle (2θ = 5–70°):
33.9 deg, I = 100
38.0 deg, I = 42
54.9 deg, I = 15
57.9 deg, I = 15
63.9 deg, I = 12
66.1 deg, I = 30

Atomic structure:
```
Ce2HfSn8
1.0
4.732 0.000 0.000
0.000 4.732 0.000
0.000 0.000 12.936
Ce Hf Sn
2 1 8
Direct
0.000 0.000 0.182 Ce
0.000 0.000 0.818 Ce
0.000 0.000 0.500 Hf
0.000 0.500 0.000 Sn
0.000 0.500 0.362 Sn
0.000 0.500 0.638 Sn
0.500 0.000 0.000 Sn
0.500 0.000 0.362 Sn
0.500 0.000 0.638 Sn
0.500 0.500 0.179 Sn
0.500 0.500 0.821 Sn
```


[4]
This entry pairs a crystal structure of SrNpS2F with its computed powder diffraction line list. Radiation: Cu Kα X-rays. Structure: a DFT-relaxed cell (GGA-PBE, Alexandria).
No peak broadening, texture or thermal motion is included.

Main lines, by angle (2θ = 5–70°):
6.4 deg, I = 83
25.7 deg, I = 30
25.8 deg, I = 100
31.9 deg, I = 57
41.4 deg, I = 44
53.2 deg, I = 30

Atomic structure:
```
SrNpS2F
1.0
3.971 0.000 0.000
0.000 3.971 0.000
0.000 0.000 13.887
Sr Np S F
2 2 4 2
Direct
0.250 0.250 0.107 Sr
0.750 0.750 0.893 Sr
0.250 0.250 0.611 Np
0.750 0.750 0.389 Np
0.250 0.250 0.408 S
0.250 0.250 0.794 S
0.750 0.750 0.206 S
0.750 0.750 0.592 S
0.250 0.750 0.000 F
0.750 0.250 0.000 F
```